Simulated powder X-ray diffraction pattern of TlHgWF6 for Cu Kα (λ = 1.5418 Å), from the PBE+U geometry in Alexandria.
No peak broadening, texture or thermal motion is included.

```
TlHgWF6
1.0
7.6484 0.0000 0.0000
-3.8242 6.6237 0.0000
0.0000 0.0000 8.0193
Tl Hg W F
2 2 2 12
Direct
0.3333 0.6667 0.2500 Tl
0.6667 0.3333 0.7500 Tl
0.0000 0.0000 0.0000 Hg
0.0000 0.0000 0.5000 Hg
0.3333 0.6667 0.7500 W
0.6667 0.3333 0.2500 W
0.1181 0.4604 0.6152 F
0.1181 0.6577 0.8848 F
0.3423 0.4604 0.8848 F
0.3423 0.8819 0.6152 F
0.4604 0.1181 0.1152 F
0.4604 0.3423 0.3848 F
0.5396 0.6577 0.6152 F
0.5396 0.8819 0.8848 F
0.6577 0.1181 0.3848 F
0.6577 0.5396 0.1152 F
0.8819 0.3423 0.1152 F
0.8819 0.5396 0.3848 F
```

Most intense lines, 2θ = 10–80°, most intense first:
d (Å)	I/Imax	index
3.824	100	1 1 0
3.430	72	1 0 2
2.124	41	2 1 2
2.553	34	2 0 2
1.776	27	2 -1 4
2.208	24	3 0 0
1.670	19	3 1 2
1.445	16	4 1 0
1.484	15	3 0 4
1.912	14	2 2 0